# 1
Simulated powder diffraction line list of MgF2 for Cu Kα (λ = 1.5418 Å), from a structure optimized by DFT (PBE).
Lines closer than 0.1° are merged.

Structure:
```
MgF2
1.0
5.2293 -1.9694 0.0000
5.2293 1.9694 0.0000
-4.2434 0.0000 5.2669
Mg F
2 4
direct
0.1046 0.1046 0.3491 Mg
0.8954 0.8954 0.6509 Mg
0.0000 0.0000 0.0000 F
0.0000 0.0000 0.5000 F
0.3512 0.3512 0.6041 F
0.6488 0.6488 0.3959 F
```

The 6 most intense peaks (2θ from 10° to 80°), low angle first:
2θ/deg  I/Imax
16.83  95
17.25  100
21.83  22
25.11  58
26.36  21
46.09  26

***

# 2
Simulated powder diffraction line list of Mg2Si for Cu Kα (λ = 1.5418 Å), from a structure optimized by DFT (PBE).
Lines closer than 0.1° are merged.

Structure:
```
Mg2Si
1.0
5.1319 0.0000 0.0000
-2.1166 6.6800 0.0000
-2.3777 -2.5711 6.9189
Mg Si
8 4
direct
0.0000 0.0000 0.0000 Mg
0.0153 0.7325 0.3335 Mg
0.2382 0.2565 0.4389 Mg
0.2875 0.7254 0.8211 Mg
0.3169 0.4798 0.1158 Mg
0.5640 0.9725 0.2887 Mg
0.6617 0.7563 0.5803 Mg
0.7120 0.4972 0.8668 Mg
0.4425 0.0669 0.7028 Si
0.7205 0.2614 0.1159 Si
0.8184 0.4165 0.4835 Si
0.9769 0.2238 0.7104 Si
```

The 6 most intense peaks (2θ from 10° to 80°), low angle first:
2θ/deg  I/Imax
35.10  100
36.54  98
36.71  69
37.75  73
39.36  82
39.55  98

***

# 3
Simulated powder diffraction line list of TbAlFe2 for Cu Kα (λ = 1.5418 Å), from a structure optimized by DFT (PBE).
Lines closer than 0.1° are merged.

Structure:
```
TbAlFe2
1.0
5.3055 0.0000 0.0000
-2.6528 4.5947 0.0000
0.0000 0.0000 16.3222
Tb Al Fe
6 6 12
direct
0.3333 0.6667 0.0333 Tb
0.3333 0.6667 0.2391 Tb
0.3333 0.6667 0.4688 Tb
0.6667 0.3333 0.5312 Tb
0.6667 0.3333 0.7609 Tb
0.6667 0.3333 0.9667 Tb
0.1644 0.3288 0.6348 Al
0.1644 0.8356 0.6348 Al
0.3288 0.1644 0.3652 Al
0.6712 0.8356 0.6348 Al
0.8356 0.1644 0.3652 Al
0.8356 0.6712 0.3652 Al
0.0000 0.0000 0.0000 Fe
0.0000 0.0000 0.2379 Fe
0.0000 0.0000 0.5000 Fe
0.0000 0.0000 0.7621 Fe
0.1658 0.3316 0.8746 Fe
0.1658 0.8342 0.8746 Fe
0.3316 0.1658 0.1254 Fe
0.3333 0.6667 0.7610 Fe
0.6667 0.3333 0.2390 Fe
0.6684 0.8342 0.8746 Fe
0.8342 0.1658 0.1254 Fe
0.8342 0.6684 0.1254 Fe
```

The 6 most intense peaks (2θ from 10° to 80°), low angle first:
2θ/deg  I/Imax
33.68  58
33.79  67
39.62  25
40.56  100
60.40  35
65.05  24

***

# 4
Simulated powder diffraction line list of BaSrEuSeO6 for Cu Kα (λ = 1.5418 Å), from a structure optimized by DFT (PBE).
Lines closer than 0.1° are merged.

Structure:
```
BaSrEuSeO6
1.0
8.4130 0.0000 0.0000
0.0000 8.4288 0.0000
0.0000 0.0000 8.4554
Ba Sr Eu Se O
4 4 4 4 24
direct
0.0000 0.0000 0.0000 Ba
0.0000 0.0000 0.5000 Ba
0.5000 0.0000 0.0000 Ba
0.5000 0.5000 0.5000 Ba
0.2509 0.2511 0.2503 Sr
0.2509 0.7489 0.7497 Sr
0.7491 0.2511 0.7497 Sr
0.7491 0.7489 0.2503 Sr
0.0000 0.5000 0.0000 Eu
0.0000 0.5000 0.5000 Eu
0.5000 0.0000 0.5000 Eu
0.5000 0.5000 0.0000 Eu
0.2484 0.2545 0.7490 Se
0.2484 0.7455 0.2510 Se
0.7516 0.2545 0.2510 Se
0.7516 0.7455 0.7490 Se
0.0322 0.2257 0.7216 O
0.0322 0.7743 0.2784 O
0.2135 0.2885 0.9661 O
0.2135 0.7115 0.0339 O
0.2147 0.4687 0.7081 O
0.2147 0.5313 0.2919 O
0.2746 0.0361 0.7788 O
0.2746 0.9639 0.2212 O
0.2914 0.2185 0.5347 O
0.2914 0.7815 0.4653 O
0.4647 0.2923 0.7867 O
0.4647 0.7077 0.2133 O
0.5353 0.2923 0.2133 O
0.5353 0.7077 0.7867 O
0.7086 0.2185 0.4653 O
0.7086 0.7815 0.5347 O
0.7254 0.0361 0.2212 O
0.7254 0.9639 0.7788 O
0.7853 0.4687 0.2919 O
0.7853 0.5313 0.7081 O
0.7865 0.2885 0.0339 O
0.7865 0.7115 0.9661 O
0.9678 0.2257 0.2784 O
0.9678 0.7743 0.7216 O
```

The 6 most intense peaks (2θ from 10° to 80°), low angle first:
2θ/deg  I/Imax
29.97  100
42.78  9
42.96  18
53.18  28
53.28  14
62.24  11

***

# 5
Simulated powder diffraction line list of RbBi3F10 for Cu Kα (λ = 1.5418 Å), from a structure optimized by DFT (PBE).
Lines closer than 0.1° are merged.

Structure:
```
RbBi3F10
1.0
0.0000 6.0778 6.0778
6.0778 0.0000 6.0778
6.0778 6.0778 0.0000
Rb Bi F
2 6 20
direct
0.2500 0.2500 0.2500 Rb
0.7500 0.7500 0.7500 Rb
0.2407 0.2407 0.7593 Bi
0.2407 0.7593 0.2407 Bi
0.2407 0.7593 0.7593 Bi
0.7593 0.2407 0.2407 Bi
0.7593 0.2407 0.7593 Bi
0.7593 0.7593 0.2407 Bi
0.1129 0.1129 0.1129 F
0.1129 0.1129 0.6612 F
0.1129 0.6612 0.1129 F
0.1701 0.5000 0.5000 F
0.1701 0.5000 0.8299 F
0.1701 0.8299 0.5000 F
0.3388 0.8871 0.8871 F
0.5000 0.1701 0.5000 F
0.5000 0.1701 0.8299 F
0.5000 0.5000 0.1701 F
0.5000 0.5000 0.8299 F
0.5000 0.8299 0.1701 F
0.5000 0.8299 0.5000 F
0.6612 0.1129 0.1129 F
0.8299 0.1701 0.5000 F
0.8299 0.5000 0.1701 F
0.8299 0.5000 0.5000 F
0.8871 0.3388 0.8871 F
0.8871 0.8871 0.3388 F
0.8871 0.8871 0.8871 F
```

The 6 most intense peaks (2θ from 10° to 80°), low angle first:
2θ/deg  I/Imax
25.38  100
29.39  44
42.05  48
49.76  57
67.13  21
76.84  17

***

# 6
Simulated powder diffraction line list of Cd2PdRh for Cu Kα (λ = 1.5418 Å), from a structure optimized by DFT (PBE).
Lines closer than 0.1° are merged.

Structure:
```
Cd2PdRh
1.0
0.0000 3.2583 3.2583
3.2583 0.0000 3.2583
3.2583 3.2583 0.0000
Cd Pd Rh
2 1 1
direct
0.2500 0.2500 0.2500 Cd
0.7500 0.7500 0.7500 Cd
0.0000 0.0000 0.0000 Pd
0.5000 0.5000 0.5000 Rh
```

The 3 most intense peaks (2θ from 10° to 80°), low angle first:
2θ/deg  I/Imax
39.10  100
56.48  17
70.84  33

***

# 7
Simulated powder diffraction line list of LaWN3 for Cu Kα (λ = 1.5418 Å), from a structure optimized by DFT (PBE).
Lines closer than 0.1° are merged.

Structure:
```
LaWN3
1.0
3.9711 0.0000 0.0000
0.0000 3.9397 4.2901
0.0000 -3.9397 4.2901
La W N
2 2 6
direct
0.0000 0.0000 0.0000 La
0.0000 0.4800 0.4800 La
0.5000 0.4830 0.9688 W
0.5000 0.9688 0.4830 W
0.0000 0.4373 0.9284 N
0.0000 0.9284 0.4373 N
0.5000 0.1484 0.7242 N
0.5000 0.2188 0.2188 N
0.5000 0.6485 0.6485 N
0.5000 0.7242 0.1484 N
```

The 6 most intense peaks (2θ from 10° to 80°), low angle first:
2θ/deg  I/Imax
30.68  99
30.81  100
32.00  88
53.86  42
56.13  38
56.38  37

***

# 8
Simulated powder diffraction line list of Sc2Co3N4 for Cu Kα (λ = 1.5418 Å), from a structure optimized by DFT (PBE).
Lines closer than 0.1° are merged.

Structure:
```
Sc2Co3N4
1.0
3.9825 -3.9522 0.0000
3.9825 3.9522 0.0000
-0.9027 0.0000 5.8532
Sc Co N
4 6 8
direct
0.0440 0.2734 0.1447 Sc
0.2734 0.0440 0.6447 Sc
0.7266 0.9560 0.3553 Sc
0.9560 0.7266 0.8553 Sc
0.2477 0.7523 0.2500 Co
0.2621 0.5002 0.5525 Co
0.5002 0.2621 0.0525 Co
0.4998 0.7379 0.9475 Co
0.7379 0.4998 0.4475 Co
0.7523 0.2477 0.7500 Co
0.0207 0.7359 0.4880 N
0.2641 0.9793 0.0120 N
0.2708 0.5107 0.9940 N
0.4893 0.7292 0.5060 N
0.5107 0.2708 0.4940 N
0.7292 0.4893 0.0060 N
0.7359 0.0207 0.9880 N
0.9793 0.2641 0.5120 N
```

The 6 most intense peaks (2θ from 10° to 80°), low angle first:
2θ/deg  I/Imax
34.08  100
36.17  99
38.48  61
41.40  86
47.69  70
51.89  52

***

# 9
Simulated powder diffraction line list of Sr2U2O7 for Cu Kα (λ = 1.5418 Å), from a structure optimized by DFT (PBE).
Lines closer than 0.1° are merged.

Structure:
```
Sr2U2O7
1.0
6.7143 0.0000 0.0000
0.0000 4.0637 0.0000
-2.3744 0.0000 6.5216
Sr U O
2 2 7
direct
0.0000 0.0000 0.0000 Sr
0.0074 0.5000 0.4974 Sr
0.4904 0.0000 0.5103 U
0.4992 0.5000 0.9837 U
0.1650 0.0000 0.3968 O
0.1805 0.5000 0.8844 O
0.4492 0.5000 0.5904 O
0.4645 0.0000 0.1885 O
0.5417 0.0000 0.8454 O
0.8139 0.0000 0.6028 O
0.8170 0.5000 0.1057 O
```

The 6 most intense peaks (2θ from 10° to 80°), low angle first:
2θ/deg  I/Imax
14.04  50
27.13  100
27.35  50
28.29  46
31.74  48
46.35  41

***

# 10
Simulated powder diffraction line list of NdTa3O9 for Cu Kα (λ = 1.5418 Å), from a structure optimized by DFT (PBE).
Lines closer than 0.1° are merged.

Structure:
```
NdTa3O9
1.0
7.8998 0.0000 0.0000
-0.0006 8.8723 0.0000
-0.0012 -3.4714 10.7088
Nd Ta O
4 12 36
direct
0.0000 0.0000 0.0000 Nd
0.0003 0.0013 0.5051 Nd
0.0000 0.6739 0.6775 Nd
0.5003 0.3244 0.3322 Nd
0.2480 0.3535 0.0992 Ta
0.2510 0.0091 0.2641 Ta
0.2533 0.3501 0.6075 Ta
0.2564 0.6752 0.9358 Ta
0.2572 0.0238 0.7728 Ta
0.2566 0.6791 0.4324 Ta
0.7431 0.0238 0.7727 Ta
0.7434 0.6793 0.4325 Ta
0.7437 0.6752 0.9357 Ta
0.7465 0.3502 0.6074 Ta
0.7492 0.0092 0.2640 Ta
0.7522 0.3535 0.0991 Ta
0.0000 0.0297 0.2880 O
0.0000 0.0354 0.7954 O
0.0001 0.3443 0.1187 O
0.9999 0.3690 0.6080 O
0.0000 0.6984 0.4452 O
0.0000 0.7063 0.9406 O
0.2020 0.8667 0.6124 O
0.2274 0.8573 0.8568 O
0.2300 0.5356 0.7708 O
0.2298 0.8688 0.1005 O
0.2348 0.8650 0.3685 O
0.2374 0.5402 0.5367 O
0.2387 0.1941 0.6950 O
0.2396 0.1742 0.9527 O
0.2478 0.1929 0.4458 O
0.2498 0.5204 0.0252 O
0.2599 0.1954 0.2057 O
0.2773 0.5096 0.2836 O
0.5001 0.0169 0.7699 O
0.5000 0.0311 0.2839 O
0.5001 0.3457 0.1186 O
0.4998 0.3709 0.5981 O
0.5000 0.6951 0.9401 O
0.5000 0.7022 0.4581 O
0.7229 0.5097 0.2836 O
0.7403 0.1954 0.2055 O
0.7503 0.5204 0.0251 O
0.7515 0.1937 0.4454 O
0.7605 0.1742 0.9526 O
0.7613 0.1938 0.6946 O
0.7624 0.5405 0.5369 O
0.7652 0.8653 0.3687 O
0.7698 0.5355 0.7707 O
0.7702 0.8689 0.1004 O
0.7728 0.8572 0.8566 O
0.7981 0.8667 0.6123 O
```

The 6 most intense peaks (2θ from 10° to 80°), low angle first:
2θ/deg  I/Imax
22.24  32
22.48  60
31.83  100
32.00  49
56.59  20
56.92  36

***

# 11
Simulated powder diffraction line list of Ba2TaCu2Pb2ClO8 for Cu Kα (λ = 1.5418 Å), from a structure optimized by DFT (PBE).
Lines closer than 0.1° are merged.

Structure:
```
Ba2TaCu2Pb2ClO8
1.0
16.0383 0.0000 0.0000
0.0000 2.8194 2.8192
0.0000 -2.8194 2.8192
Ba Ta Cu Pb Cl O
2 1 2 2 1 8
direct
0.1506 0.0000 0.0000 Ba
0.8494 0.0000 0.0000 Ba
0.0000 0.4944 0.4944 Ta
0.2785 0.5063 0.5063 Cu
0.7215 0.5063 0.5063 Cu
0.3808 0.0077 0.0077 Pb
0.6192 0.0077 0.0077 Pb
0.5000 0.5074 0.5074 Cl
0.0000 0.4849 0.9916 O
0.0000 0.9916 0.4849 O
0.1238 0.4952 0.4952 O
0.2894 0.0067 0.5073 O
0.2894 0.5073 0.0067 O
0.7106 0.0067 0.5073 O
0.7106 0.5073 0.0067 O
0.8762 0.4952 0.4952 O
```

The 6 most intense peaks (2θ from 10° to 80°), low angle first:
2θ/deg  I/Imax
22.98  14
31.68  100
45.50  19
56.31  8
56.50  30
75.38  16